1.
Diffraction record for RbPd4Br12. The X-ray diffraction stick pattern is computed, not measured: it uses DFT lattice parameters and positions (PBE) and Cu Kα.
Lines closer than 0.1° are merged.

Peak list (10 most intense, 10 to 90 degrees two-theta, low angle first)
two_theta, intensity
17.96, 100
28.58, 99
33.96, 82
36.39, 54
40.86, 63
44.96, 58
54.15, 44
57.52, 44
67.00, 18
82.95, 44

Cell and atoms:
Cell: 8.5535 8.5535 8.5535 Å, 109.47 109.47 109.47°
Positions (direct):
Rb  0.0000  0.0000  0.0000
Pd  0.0000  0.0000  0.5000
Pd  0.0000  0.5000  0.0000
Pd  0.5000  0.0000  0.0000
Pd  0.5000  0.5000  0.5000
Br  0.1161  0.8103  0.3058
Br  0.1897  0.3058  0.4955
Br  0.1897  0.6942  0.8839
Br  0.3058  0.1161  0.8103
Br  0.3058  0.4955  0.1897
Br  0.4955  0.1897  0.3058
Br  0.5045  0.8103  0.6942
Br  0.6942  0.5045  0.8103
Br  0.6942  0.8839  0.1897
Br  0.8103  0.3058  0.1161
Br  0.8103  0.6942  0.5045
Br  0.8839  0.1897  0.6942

***

2.
Diffraction record for Rb4PdBr5. The X-ray diffraction stick pattern is computed, not measured: it uses DFT lattice parameters and positions (PBE) and Cu Kα.
Lines closer than 0.1° are merged.

Peak list (10 most intense, 10 to 90 degrees two-theta, low angle first)
two_theta, intensity
11.97, 12
25.30, 68
26.96, 100
37.30, 82
38.49, 33
46.62, 37
59.48, 20
62.00, 13
66.47, 13
68.85, 13

Cell and atoms:
Cell: 8.1913 8.1913 8.1913 Å, 100.65 100.65 129.09°
Positions (direct):
Rb  0.0925  0.7051  0.7976
Rb  0.2949  0.0925  0.3874
Rb  0.7051  0.9075  0.6126
Rb  0.9075  0.2949  0.2024
Pd  0.4907  0.4907  0.0000
Br  0.0325  0.0325  0.0000
Br  0.2507  0.4220  0.6666
Br  0.4220  0.7555  0.1713
Br  0.5841  0.2507  0.8287
Br  0.7555  0.5841  0.3334

***

3.
Diffraction record for Rb2PdRuBr6. The X-ray diffraction stick pattern is computed, not measured: it uses DFT lattice parameters and positions (PBE) and Cu Kα.
Lines closer than 0.1° are merged.

Peak list (10 most intense, 10 to 90 degrees two-theta, low angle first)
two_theta, intensity
16.64, 16
16.81, 32
23.74, 33
29.23, 80
33.64, 51
33.99, 100
48.58, 71
48.84, 35
57.93, 22
60.61, 36

Cell and atoms:
Cell: 7.4972 7.4972 7.4972 Å, 120.33 120.33 89.42°
Positions (direct):
Rb  0.2500  0.7500  0.5000
Rb  0.7500  0.2500  0.5000
Pd  0.0000  0.0000  0.0000
Ru  0.5000  0.5000  0.0000
Br  0.2557  0.2557  0.5114
Br  0.2557  0.7443  0.0000
Br  0.2586  0.2586  0.0000
Br  0.7414  0.7414  0.0000
Br  0.7443  0.2557  0.0000
Br  0.7443  0.7443  0.4886

***

4.
Diffraction record for RbSbPd2Br. The X-ray diffraction stick pattern is computed, not measured: it uses DFT lattice parameters and positions (PBE) and Cu Kα.
Lines closer than 0.1° are merged.

Peak list (10 most intense, 10 to 90 degrees two-theta, low angle first)
two_theta, intensity
17.33, 22
26.52, 67
28.01, 100
35.07, 63
44.50, 64
47.74, 23
50.45, 22
57.89, 29
58.69, 24
66.57, 19

Cell and atoms:
Cell: 5.1168 5.1168 6.7223 Å, 90.00 90.00 90.00°
Positions (direct):
Rb  0.0000  0.0000  0.0000
Sb  0.0000  0.0000  0.5000
Pd  0.0000  0.5000  0.0000
Pd  0.5000  0.0000  0.0000
Br  0.5000  0.5000  0.5000